Starting from a DFT-relaxed cell (PBE, Alexandria), the powder diffraction line list of LiSc4Sb was simulated for Cu Kα (λ = 1.5418 Å).
Neutral-atom scattering factors, no anomalous dispersion.

Structural model:
```
data_LiSc4Sb
_cell_length_a 8.3701
_cell_length_b 8.3701
_cell_length_c 8.3701
_cell_angle_alpha 90.00
_cell_angle_beta 90.00
_cell_angle_gamma 90.00
_symmetry_space_group_name_H-M 'F -4 3 m'
_symmetry_Int_Tables_number 216
_symmetry_space_group_name_Hall 'F -4 2 3'
loop_
_atom_site_label
_atom_site_fract_x
_atom_site_fract_y
_atom_site_fract_z
_atom_site_occupancy
Li1 0.0000 0.0000 0.0000 1
Sc1 0.1246 0.1246 0.3754 1
Sb1 0.2500 0.2500 0.7500 1
```

Largest 10 diffraction maxima, sorted by position, 2θ = 10–80°:
Position (°2θ)  I_rel
18.36  31
21.23  32
30.20  32
35.57  100
37.21  34
48.65  14
53.64  12
57.19  31
62.80  21
75.32  11